# 1
# SrGaBO4
Computed powder X-ray diffraction pattern, Cu Kα X-rays. Input: a cell relaxed with GGA-PBE.

Top 10 peaks for 15 to 90 degrees two-theta, low angle first:
- 2θ = 19.5°, 4.554 Å, rel. 35
- 2θ = 19.7°, 4.514 Å, rel. 41
- 2θ = 22.6°, 3.932 Å, rel. 75
- 2θ = 27.3°, 3.267 Å, rel. 40
- 2θ = 30.2°, 2.961 Å, rel. 47
- 2θ = 31.6°, 2.829 Å, rel. 48
- 2θ = 32.0°, 2.798 Å, rel. 100
- 2θ = 35.9°, 2.498 Å, rel. 76
- 2θ = 46.0°, 1.973 Å, rel. 32
- 2θ = 50.7°, 1.801 Å, rel. 36

Cell: 9.107 15.593 5.989 Å, 90.00 90.00 90.00°
Sites, in units of the cell vectors:
Sr1 0.074 0.121 0.499
Sr2 0.215 0.980 0.001
Sr3 0.285 0.480 0.999
Sr4 0.426 0.621 0.501
Sr5 0.574 0.379 0.501
Sr6 0.715 0.520 0.999
Sr7 0.785 0.020 0.001
Sr8 0.926 0.879 0.499
Ga1 0.036 0.654 0.250
Ga2 0.036 0.655 0.749
Ga3 0.464 0.154 0.750
Ga4 0.464 0.155 0.251
Ga5 0.536 0.845 0.251
Ga6 0.536 0.846 0.750
Ga7 0.964 0.345 0.749
Ga8 0.964 0.346 0.250
B1 0.019 0.186 0.000
B2 0.208 0.424 0.500
B3 0.292 0.924 0.500
B4 0.481 0.686 0.000
B5 0.519 0.314 0.000
B6 0.708 0.076 0.500
B7 0.792 0.576 0.500
B8 0.981 0.814 0.000
O1 0.011 0.229 0.796
O2 0.013 0.230 0.203
O3 0.029 0.099 0.002
O4 0.120 0.608 0.999
O5 0.144 0.402 0.703
O6 0.144 0.403 0.297
O7 0.153 0.646 0.500
O8 0.160 0.967 0.499
O9 0.340 0.467 0.501
O10 0.347 0.146 0.500
O11 0.356 0.902 0.297
O12 0.356 0.903 0.703
O13 0.380 0.108 0.001
O14 0.471 0.599 0.998
O15 0.487 0.730 0.797
O16 0.489 0.729 0.204
O17 0.511 0.271 0.204
O18 0.513 0.270 0.797
O19 0.529 0.401 0.998
O20 0.620 0.892 0.001
O21 0.644 0.097 0.703
O22 0.644 0.098 0.297
O23 0.653 0.854 0.500
O24 0.660 0.533 0.501
O25 0.840 0.033 0.499
O26 0.847 0.354 0.500
O27 0.856 0.597 0.297
O28 0.856 0.598 0.703
O29 0.880 0.392 0.999
O30 0.971 0.901 0.002
O31 0.987 0.770 0.203
O32 0.989 0.771 0.796

***

# 2
# Li2VCl4
Computed powder X-ray diffraction pattern, Cu Kα X-rays. Input: a cell relaxed with GGA-PBE.

Top 10 peaks for 15 to 90 degrees two-theta, low angle first:
- 2θ = 28.7°, 3.111 Å, rel. 19
- 2θ = 29.8°, 2.994 Å, rel. 25
- 2θ = 30.0°, 2.982 Å, rel. 26
- 2θ = 34.5°, 2.598 Å, rel. 51
- 2θ = 34.7°, 2.582 Å, rel. 100
- 2θ = 45.6°, 1.990 Å, rel. 13
- 2θ = 49.8°, 1.831 Å, rel. 76
- 2θ = 50.1°, 1.821 Å, rel. 16
- 2θ = 62.0°, 1.497 Å, rel. 14
- 2θ = 62.3°, 1.491 Å, rel. 15

Cell: 6.358 6.358 3.641 Å, 90.00 90.00 109.65°
Sites, in units of the cell vectors:
Li1 0.000 0.500 0.000
Li2 0.500 0.000 0.000
V1 0.000 0.000 0.500
Cl1 0.232 0.232 0.000
Cl2 0.239 0.761 0.500
Cl3 0.761 0.239 0.500
Cl4 0.768 0.768 0.000

***

# 3
# BaPm2Cu2Ge2
Computed powder X-ray diffraction pattern, Cu Kα X-rays. Input: a cell relaxed with GGA-PBE.

Top 10 peaks for 15 to 90 degrees two-theta, low angle first:
- 2θ = 23.1°, 3.852 Å, rel. 33
- 2θ = 31.0°, 2.886 Å, rel. 91
- 2θ = 33.1°, 2.706 Å, rel. 77
- 2θ = 40.2°, 2.242 Å, rel. 100
- 2θ = 51.6°, 1.771 Å, rel. 21
- 2θ = 53.0°, 1.727 Å, rel. 20
- 2θ = 62.0°, 1.498 Å, rel. 20
- 2θ = 67.4°, 1.390 Å, rel. 19
- 2θ = 68.6°, 1.368 Å, rel. 19
- 2θ = 73.1°, 1.294 Å, rel. 20

Cell: 10.391 10.391 10.391 Å, 24.92 24.92 24.92°
Sites, in units of the cell vectors:
Ba1 0.000 0.000 0.000
Pm1 0.130 0.130 0.130
Pm2 0.870 0.870 0.870
Cu1 0.415 0.415 0.415
Cu2 0.585 0.585 0.585
Ge1 0.251 0.251 0.251
Ge2 0.749 0.749 0.749

***

# 4
# Y2Mg17
Computed powder X-ray diffraction pattern, Cu Kα X-rays. Input: a cell relaxed with GGA-PBE.

Top 10 peaks for 15 to 90 degrees two-theta, low angle first:
- 2θ = 24.7°, 3.599 Å, rel. 32
- 2θ = 30.3°, 2.948 Å, rel. 29
- 2θ = 31.0°, 2.882 Å, rel. 16
- 2θ = 35.2°, 2.550 Å, rel. 100
- 2θ = 35.4°, 2.537 Å, rel. 18
- 2θ = 35.8°, 2.509 Å, rel. 21
- 2θ = 50.7°, 1.799 Å, rel. 11
- 2θ = 57.1°, 1.614 Å, rel. 13
- 2θ = 63.1°, 1.474 Å, rel. 12
- 2θ = 63.4°, 1.466 Å, rel. 19

Cell: 7.778 7.778 7.778 Å, 82.06 82.06 82.06°
Sites, in units of the cell vectors:
Y1 0.172 0.172 0.172
Y2 0.828 0.828 0.828
Mg1 0.000 0.500 0.500
Mg2 0.147 0.147 0.660
Mg3 0.147 0.660 0.147
Mg4 0.196 0.500 0.804
Mg5 0.196 0.804 0.500
Mg6 0.340 0.853 0.853
Mg7 0.401 0.401 0.401
Mg8 0.500 0.000 0.500
Mg9 0.500 0.196 0.804
Mg10 0.500 0.500 0.000
Mg11 0.500 0.804 0.196
Mg12 0.599 0.599 0.599
Mg13 0.660 0.147 0.147
Mg14 0.804 0.196 0.500
Mg15 0.804 0.500 0.196
Mg16 0.853 0.340 0.853
Mg17 0.853 0.853 0.340